Starting from DFT lattice parameters and positions (PBE), the X-ray powder pattern of MnPbCl6 was simulated for Cu Ka.
No peak broadening, texture or thermal motion is included.

Top 12 peaks for 2θ = 5–70°, sorted by position:
d = 5.307 Å, I = 19; d = 4.708 Å, I = 100; d = 3.460 Å, I = 48; d = 3.212 Å, I = 14; d = 2.983 Å, I = 16; d = 2.820 Å, I = 43; d = 2.748 Å, I = 18; d = 2.654 Å, I = 24; d = 2.171 Å, I = 47; d = 2.046 Å, I = 20; d = 1.899 Å, I = 21; d = 1.855 Å, I = 19

Crystal structure
Cell lengths 6.4247, 6.4247, 17.6692 Å; angles 90.00, 90.00, 120.00 degrees
Space group R-3 (No. 148, hexagonal axes)
Asymmetric unit:
Mn1 0.0000 0.0000 0.0000
Pb1 0.0000 0.0000 0.5000
Cl1 0.0261 0.6344 0.5925

Starting from DFT lattice parameters and positions (PBE), the X-ray powder pattern of Mn5Pb3Cl16 was simulated for Cu Ka.
No peak broadening, texture or thermal motion is included.

Top 12 peaks for 2θ = 5–70°, sorted by position:
d = 6.005 Å, I = 46; d = 5.955 Å, I = 100; d = 3.755 Å, I = 22; d = 3.416 Å, I = 22; d = 3.305 Å, I = 34; d = 3.004 Å, I = 21; d = 2.969 Å, I = 29; d = 2.624 Å, I = 27; d = 2.588 Å, I = 28; d = 2.023 Å, I = 33; d = 1.977 Å, I = 36; d = 1.949 Å, I = 22

Crystal structure
Cell lengths 14.1258, 7.9125, 11.9288 Å; angles 90.00, 91.66, 90.00 degrees
Space group Cm (No. 8)
Asymmetric unit:
Mn1 0.0000 0.0000 0.0000
Mn2 0.0170 0.5000 0.2454
Mn3 0.0917 0.2543 0.5122
Mn4 0.3467 0.5000 0.7318
Pb1 0.2562 0.2485 0.0146
Pb2 0.3461 0.0000 0.5107
Cl1 0.0018 0.0000 0.6189
Cl2 0.0300 0.5000 0.6273
Cl3 0.0749 0.2577 0.1200
Cl4 0.1452 0.0000 0.8887
Cl5 0.1564 0.5000 0.3803
Cl6 0.1576 0.0000 0.4081
Cl7 0.1956 0.5000 0.8614
Cl8 0.2505 0.2717 0.6250
Cl9 0.3547 0.0000 0.1586
Cl10 0.3677 0.5000 0.1333
Cl11 0.4180 0.2843 0.8671
Cl12 0.4533 0.2333 0.3785

Starting from DFT lattice parameters and positions (PBE), the X-ray powder pattern of Mn6Pb4Cl19 was simulated for Cu Ka.
No peak broadening, texture or thermal motion is included.

Top 12 peaks for 2θ = 5–70°, sorted by position:
d = 4.735 Å, I = 100; d = 3.668 Å, I = 36; d = 3.348 Å, I = 30; d = 2.734 Å, I = 67; d = 2.368 Å, I = 19; d = 2.275 Å, I = 31; d = 2.118 Å, I = 48; d = 1.933 Å, I = 25; d = 1.790 Å, I = 13; d = 1.578 Å, I = 25; d = 1.428 Å, I = 14; d = 1.367 Å, I = 12

Crystal structure
Cell lengths 11.5992, 11.5992, 11.5992 Å; angles 90.00, 90.00, 90.00 degrees
Space group I23 (No. 197)
Asymmetric unit:
Mn1 0.0000 0.1537 0.5000
Pb1 0.1522 0.1522 0.1522
Cl1 0.0000 0.0000 0.0000
Cl2 0.0000 0.0000 0.3432
Cl3 0.0441 0.2857 0.3286

Starting from DFT lattice parameters and positions (PBE), the X-ray powder pattern of MnPbCl5 was simulated for Cu Ka.
No peak broadening, texture or thermal motion is included.

Top 12 peaks for 2θ = 5–70°, sorted by position:
d = 6.123 Å, I = 29; d = 5.833 Å, I = 32; d = 5.085 Å, I = 98; d = 4.595 Å, I = 27; d = 4.239 Å, I = 100; d = 3.834 Å, I = 21; d = 3.540 Å, I = 31; d = 2.645 Å, I = 18; d = 2.543 Å, I = 64; d = 2.459 Å, I = 33; d = 2.247 Å, I = 22; d = 2.119 Å, I = 22

Crystal structure
Cell lengths 11.2319, 7.6690, 10.1795 Å; angles 90.00, 115.12, 90.00 degrees
Space group C2/c (No. 15)
Asymmetric unit:
Mn1 0.0000 0.0000 0.0000
Pb1 0.0000 0.4275 0.2500
Cl1 0.0000 0.0629 0.2500
Cl2 0.0565 0.2917 0.0000
Cl3 0.2179 0.0778 0.6158

Starting from DFT lattice parameters and positions (PBE), the X-ray powder pattern of RbMnPb2Cl8 was simulated for Cu Ka.
No peak broadening, texture or thermal motion is included.

Top 12 peaks for 2θ = 5–70°, sorted by position:
d = 6.771 Å, I = 38; d = 6.430 Å, I = 31; d = 4.803 Å, I = 100; d = 4.534 Å, I = 93; d = 3.689 Å, I = 50; d = 3.631 Å, I = 78; d = 3.244 Å, I = 49; d = 2.928 Å, I = 33; d = 2.517 Å, I = 40; d = 2.437 Å, I = 29; d = 2.387 Å, I = 47; d = 2.008 Å, I = 34

Crystal structure
Cell lengths 6.4403, 6.7823, 8.7993 Å; angles 89.93, 89.80, 86.69 degrees
Space group P-1 (No. 2)
Asymmetric unit:
Rb1 0.0000 0.0000 0.0000
Mn1 0.0000 0.0000 0.5000
Pb1 0.4996 0.5001 0.2652
Cl1 0.2096 0.8554 0.6843
Cl2 0.2112 0.8570 0.3149
Cl3 0.2505 0.3196 0.5006
Cl4 0.2829 0.3658 0.0009

Starting from DFT lattice parameters and positions (PBE), the X-ray powder pattern of MnPdCl4 was simulated for Cu Ka.
No peak broadening, texture or thermal motion is included.

Top 12 peaks for 2θ = 5–70°, sorted by position:
d = 5.978 Å, I = 100; d = 4.639 Å, I = 33; d = 3.199 Å, I = 14; d = 3.132 Å, I = 37; d = 2.677 Å, I = 44; d = 2.573 Å, I = 82; d = 1.977 Å, I = 17; d = 1.855 Å, I = 54; d = 1.838 Å, I = 14; d = 1.801 Å, I = 13; d = 1.515 Å, I = 13; d = 1.495 Å, I = 13

Crystal structure
Cell lengths 7.2053, 10.7088, 7.3536 Å; angles 90.00, 90.00, 90.00 degrees
Space group Cccm (No. 66)
Asymmetric unit:
Mn1 0.2500 0.2500 0.0000
Pd1 0.0000 0.0000 0.2500
Cl1 0.0000 0.2371 0.2500
Cl2 0.2440 0.0141 0.0000

Starting from DFT lattice parameters and positions (PBE), the X-ray powder pattern of RbPmMn2Cl8 was simulated for Cu Ka.
No peak broadening, texture or thermal motion is included.

Top 12 peaks for 2θ = 5–70°, sorted by position:
d = 10.498 Å, I = 21; d = 5.547 Å, I = 13; d = 4.582 Å, I = 100; d = 3.253 Å, I = 53; d = 3.227 Å, I = 29; d = 2.766 Å, I = 35; d = 2.653 Å, I = 27; d = 2.383 Å, I = 16; d = 2.056 Å, I = 24; d = 2.043 Å, I = 41; d = 1.878 Å, I = 30; d = 1.873 Å, I = 13

Crystal structure
Cell lengths 6.5069, 6.5069, 31.4931 Å; angles 90.00, 90.00, 120.00 degrees
Space group R32 (No. 155, hexagonal axes)
Asymmetric unit:
Rb1 0.0000 0.0000 0.0000
Pm1 0.0000 0.0000 0.5000
Mn1 0.0000 0.0000 0.2483
Cl1 0.0000 0.0000 0.3203
Cl2 0.0045 0.3467 0.2224

Starting from DFT lattice parameters and positions (PBE), the X-ray powder pattern of PrMnTl2Cl8 was simulated for Cu Ka.
No peak broadening, texture or thermal motion is included.

Top 12 peaks for 2θ = 5–70°, sorted by position:
d = 5.041 Å, I = 100; d = 4.778 Å, I = 74; d = 3.532 Å, I = 21; d = 3.511 Å, I = 84; d = 3.481 Å, I = 36; d = 3.198 Å, I = 17; d = 3.096 Å, I = 30; d = 2.501 Å, I = 41; d = 2.473 Å, I = 29; d = 2.427 Å, I = 15; d = 2.389 Å, I = 21; d = 2.182 Å, I = 17

Crystal structure
Cell lengths 6.8537, 7.0421, 8.1325 Å; angles 89.51, 89.45, 86.92 degrees
Space group P-1 (No. 2)
Asymmetric unit:
Pr1 0.0000 0.0000 0.0000
Mn1 0.0000 0.0000 0.5000
Tl1 0.4809 0.4866 0.7318
Cl1 0.1692 0.7191 0.4962
Cl2 0.2010 0.1154 0.2868
Cl3 0.2303 0.6674 0.0060
Cl4 0.2348 0.1254 0.7466

Starting from DFT lattice parameters and positions (PBE), the X-ray powder pattern of MnPtCl2 was simulated for Cu Ka.
No peak broadening, texture or thermal motion is included.

Top 12 peaks for 2θ = 5–70°, sorted by position:
d = 8.588 Å, I = 100; d = 4.294 Å, I = 8; d = 3.004 Å, I = 8; d = 2.836 Å, I = 14; d = 2.695 Å, I = 18; d = 2.572 Å, I = 12; d = 2.462 Å, I = 40; d = 2.072 Å, I = 26; d = 1.809 Å, I = 5; d = 1.507 Å, I = 9; d = 1.502 Å, I = 6; d = 1.403 Å, I = 7

Crystal structure
Cell lengths 3.6182, 5.3907, 8.5884 Å; angles 90.00, 90.00, 90.00 degrees
Space group Cmm2 (No. 35)
Asymmetric unit:
Mn1 0.0000 0.0000 0.0000
Pt1 0.0000 0.5000 0.2010
Cl1 0.0000 0.0000 0.4019
Cl2 0.0000 0.5000 0.8158

Starting from DFT lattice parameters and positions (PBE), the X-ray powder pattern of Rb3PuMn2Cl9 was simulated for Cu Ka.
No peak broadening, texture or thermal motion is included.

Top 12 peaks for 2θ = 5–70°, sorted by position:
d = 6.399 Å, I = 24; d = 5.246 Å, I = 48; d = 3.725 Å, I = 79; d = 3.695 Å, I = 67; d = 3.021 Å, I = 17; d = 2.623 Å, I = 100; d = 2.139 Å, I = 34; d = 1.862 Å, I = 30; d = 1.847 Å, I = 32; d = 1.655 Å, I = 17; d = 1.510 Å, I = 17; d = 1.397 Å, I = 18

Crystal structure
Cell lengths 7.3890, 7.3890, 9.1620 Å; angles 90.00, 90.00, 120.00 degrees
Space group P-3m1 (No. 164)
Asymmetric unit:
Rb1 0.0000 0.0000 0.0000
Rb2 0.3333 0.6667 0.6926
Pu1 0.0000 0.0000 0.5000
Mn1 0.3333 0.6667 0.1564
Cl1 0.0000 0.5000 0.0000
Cl2 0.1736 0.3471 0.3214

Starting from DFT lattice parameters and positions (PBE), the X-ray powder pattern of Rb3Mn2Cl9 was simulated for Cu Ka.
No peak broadening, texture or thermal motion is included.

Top 12 peaks for 2θ = 5–70°, sorted by position:
d = 7.023 Å, I = 14; d = 4.370 Å, I = 25; d = 3.513 Å, I = 28; d = 3.140 Å, I = 19; d = 2.790 Å, I = 14; d = 2.738 Å, I = 100; d = 2.185 Å, I = 29; d = 1.855 Å, I = 13; d = 1.756 Å, I = 24; d = 1.725 Å, I = 16; d = 1.533 Å, I = 11; d = 1.478 Å, I = 13

Crystal structure
Cell lengths 12.1683, 12.1683, 18.8413 Å; angles 90.00, 90.00, 120.00 degrees
Space group R-3c (No. 167, hexagonal axes)
Asymmetric unit:
Rb1 0.0000 0.3390 0.2500
Mn1 0.0000 0.0000 0.1629
Cl1 0.0000 0.1547 0.7500
Cl2 0.0001 0.1640 0.1004

Starting from DFT lattice parameters and positions (PBE), the X-ray powder pattern of Rb3Mn2Cl7 was simulated for Cu Ka.
No peak broadening, texture or thermal motion is included.

Top 12 peaks for 2θ = 5–70°, sorted by position:
d = 3.700 Å, I = 35; d = 3.569 Å, I = 46; d = 3.330 Å, I = 46; d = 2.982 Å, I = 100; d = 2.659 Å, I = 32; d = 2.576 Å, I = 49; d = 2.518 Å, I = 45; d = 2.007 Å, I = 24; d = 1.850 Å, I = 19; d = 1.828 Å, I = 19; d = 1.801 Å, I = 31; d = 1.491 Å, I = 18

Crystal structure
Cell lengths 5.1519, 26.5874, 5.0364 Å; angles 90.00, 90.00, 90.00 degrees
Space group Cmmm (No. 65)
Asymmetric unit:
Rb1 0.0000 0.0000 0.0000
Rb2 0.0000 0.1795 0.0000
Mn1 0.0000 0.4019 0.5000
Cl1 0.0000 0.0944 0.5000
Cl2 0.0000 0.3087 0.5000
Cl3 0.0000 0.4053 0.0000
Cl4 0.0000 0.5000 0.5000